# K2AgF4
Computed XRD peak list, CuKα. Input: a structure optimized by DFT (PBE).
No peak broadening, texture or thermal motion is included.

Largest 12 diffraction maxima, in order of rising 2θ, 10° ≤ 2θ ≤ 90°:
2theta  intensity
13.61  85
21.03  61
27.51  42
28.69  100
28.98  42
40.11  37
40.38  55
41.66  19
42.81  21
49.39  27
51.18  19
59.42  22

Structure:
```
14
Lattice="3.082 -6.505 0.000 3.082 6.505 0.000 0.000 0.000 6.483" Properties=species:S:1:pos:R:3 pbc="T T T"
K 3.082 4.650 6.354
K 3.082 1.855 3.113
K 3.082 -1.855 3.370
K 3.082 -4.650 0.129
Ag 0.000 0.000 3.242
Ag 3.082 0.000 0.000
F 3.082 4.383 3.705
F 1.541 0.340 4.862
F 1.541 -0.340 1.621
F 3.082 2.122 0.463
F 3.082 -2.122 6.020
F 4.622 0.340 4.862
F 4.622 -0.340 1.621
F 3.082 -4.383 2.778
```